Cs2AlReF6: simulated powder X-ray diffraction pattern (Cu Kα X-rays), based on a DFT-relaxed cell (PBE, Alexandria).

Most intense lines, 2θ = 5–70°, most intense first:
2θ/deg  intensity
27.06  100
16.64  50
27.89  45
48.84  40
39.86  32
55.79  21

Atomic structure:
abc: 6.6036 6.6036 6.6036
angles: 122.06 122.06 86.47
Element x y z (fractional)
Cs (0.2500, 0.7500, 0.5000)
Cs (0.7500, 0.2500, 0.5000)
Al (0.0000, 0.0000, 0.0000)
Re (0.5000, 0.5000, 0.0000)
F (0.2661, 0.2661, 0.5321)
F (0.2661, 0.7339, 0.0000)
F (0.2898, 0.2898, 0.0000)
F (0.7102, 0.7102, 0.0000)
F (0.7339, 0.2661, 0.0000)
F (0.7339, 0.7339, 0.4679)

Re2Mo6W3: simulated powder X-ray diffraction pattern (Cu Kα X-rays), based on a DFT-relaxed cell (PBE, Alexandria).

Most intense lines, 2θ = 5–70°, most intense first:
2θ/deg  intensity
39.01  100
38.69  52
41.65  46
6.04  23
39.69  22
40.87  21

Atomic structure:
abc: 14.8643 14.8643 14.8643
angles: 169.96 161.98 20.66
Element x y z (fractional)
Re (0.0444, 0.0444, 0.0000)
Re (0.9556, 0.9556, 0.0000)
Mo (0.1326, 0.6326, 0.5000)
Mo (0.2237, 0.2237, 0.0000)
Mo (0.4079, 0.9079, 0.5000)
Mo (0.5921, 0.0921, 0.5000)
Mo (0.7763, 0.7763, 0.0000)
Mo (0.8674, 0.3674, 0.5000)
W (0.3167, 0.3167, 0.0000)
W (0.5000, 0.5000, 0.0000)
W (0.6833, 0.6833, 0.0000)

Si3PdF: simulated powder X-ray diffraction pattern (Cu Kα X-rays), based on a DFT-relaxed cell (PBE, Alexandria).

Most intense lines, 2θ = 5–70°, most intense first:
2θ/deg  intensity
36.15  100
29.35  86
41.99  73
60.89  46
20.64  34
52.05  33

Atomic structure:
abc: 4.3035 4.3035 4.3035
angles: 90.00 90.00 90.00
Element x y z (fractional)
Si (0.0000, 0.0000, 0.5000)
Si (0.0000, 0.5000, 0.0000)
Si (0.5000, 0.0000, 0.0000)
Pd (0.5000, 0.5000, 0.5000)
F (0.0000, 0.0000, 0.0000)

FeTc3B: simulated powder X-ray diffraction pattern (Cu Kα X-rays), based on a DFT-relaxed cell (PBE, Alexandria).

Most intense lines, 2θ = 5–70°, most intense first:
2θ/deg  intensity
37.78  100
43.37  87
43.01  81
40.42  80
49.24  44
39.15  42

Atomic structure:
abc: 6.3991 4.7988 8.2900
angles: 90.00 108.42 90.00
Element x y z (fractional)
Fe (0.1252, 0.1915, 0.1238)
Fe (0.1252, 0.3085, 0.6238)
Fe (0.8748, 0.6915, 0.3762)
Fe (0.8748, 0.8085, 0.8762)
Tc (0.1037, 0.7014, 0.1838)
Tc (0.1037, 0.7986, 0.6838)
Tc (0.2920, 0.5042, 0.9539)
Tc (0.2920, 0.9958, 0.4539)
Tc (0.4858, 0.0410, 0.8245)
Tc (0.4858, 0.4590, 0.3245)
Tc (0.5142, 0.5410, 0.6755)
Tc (0.5142, 0.9590, 0.1755)
Tc (0.7080, 0.0042, 0.5461)
Tc (0.7080, 0.4958, 0.0461)
Tc (0.8963, 0.2014, 0.3162)
Tc (0.8963, 0.2986, 0.8162)
B (0.2156, 0.5092, 0.4421)
B (0.2156, 0.9908, 0.9421)
B (0.7844, 0.0092, 0.0579)
B (0.7844, 0.4908, 0.5579)

Ca3RhN3: simulated powder X-ray diffraction pattern (Cu Kα X-rays), based on a DFT-relaxed cell (PBE, Alexandria).

Most intense lines, 2θ = 5–70°, most intense first:
2θ/deg  intensity
33.42  100
22.69  68
13.90  55
36.15  49
41.68  40
28.01  34

Atomic structure:
abc: 7.3555 7.3555 4.9695
angles: 90.00 90.00 120.00
Element x y z (fractional)
Ca (0.0946, 0.3603, 0.2500)
Ca (0.2656, 0.9054, 0.2500)
Ca (0.3603, 0.2656, 0.7500)
Ca (0.6397, 0.7344, 0.2500)
Ca (0.7344, 0.0946, 0.7500)
Ca (0.9054, 0.6397, 0.7500)
Rh (0.3333, 0.6667, 0.7500)
Rh (0.6667, 0.3333, 0.2500)
N (0.1004, 0.3847, 0.7500)
N (0.2842, 0.8996, 0.7500)
N (0.3847, 0.2842, 0.2500)
N (0.6153, 0.7158, 0.7500)
N (0.7158, 0.1004, 0.2500)
N (0.8996, 0.6153, 0.2500)

Ti4BN: simulated powder X-ray diffraction pattern (Cu Kα X-rays), based on a DFT-relaxed cell (PBE, Alexandria).

Most intense lines, 2θ = 5–70°, most intense first:
2θ/deg  intensity
37.81  100
37.46  99
38.67  65
40.16  56
41.80  39
40.42  34

Atomic structure:
abc: 5.3236 5.3673 5.3884
angles: 90.00 94.26 90.00
Element x y z (fractional)
Ti (0.1336, 0.1536, 0.1712)
Ti (0.1336, 0.3464, 0.6712)
Ti (0.3417, 0.6421, 0.1209)
Ti (0.3417, 0.8579, 0.6209)
Ti (0.6583, 0.1421, 0.3791)
Ti (0.6583, 0.3579, 0.8791)
Ti (0.8664, 0.6536, 0.3288)
Ti (0.8664, 0.8464, 0.8288)
B (0.5000, 0.0000, 0.0000)
B (0.5000, 0.5000, 0.5000)
N (0.0000, 0.0000, 0.5000)
N (0.0000, 0.5000, 0.0000)

La8Pr5Ho: simulated powder X-ray diffraction pattern (Cu Kα X-rays), based on a DFT-relaxed cell (PBE, Alexandria).

Most intense lines, 2θ = 5–70°, most intense first:
2θ/deg  intensity
28.16  100
32.80  58
27.37  46
33.43  35
33.19  33
30.62  17

Atomic structure:
abc: 8.7633 8.7633 8.7633
angles: 110.36 110.36 107.70
Element x y z (fractional)
La (0.0779, 0.3407, 0.6010)
La (0.1757, 0.4432, 0.1086)
La (0.3346, 0.0671, 0.8914)
La (0.5231, 0.9221, 0.2629)
La (0.5568, 0.6654, 0.7325)
La (0.6593, 0.2603, 0.7371)
La (0.7397, 0.4769, 0.3990)
La (0.9329, 0.8243, 0.2675)
Pr (0.0254, 0.7174, 0.8964)
Pr (0.2826, 0.1789, 0.3079)
Pr (0.5000, 0.5000, 0.0000)
Pr (0.8211, 0.1290, 0.1036)
Pr (0.8710, 0.9746, 0.6921)
Ho (0.2500, 0.7500, 0.5000)

Tb3SiB2Rh9: simulated powder X-ray diffraction pattern (Cu Kα X-rays), based on a DFT-relaxed cell (PBE, Alexandria).

Most intense lines, 2θ = 5–70°, most intense first:
2θ/deg  intensity
36.23  100
42.08  56
61.08  18
60.96  18
29.41  6
52.19  2

Atomic structure:
abc: 6.0684 6.0684 7.4523
angles: 90.00 90.00 120.00
Element x y z (fractional)
Tb (0.0000, 0.0000, 0.0000)
Tb (0.3333, 0.6667, 0.6657)
Tb (0.6667, 0.3333, 0.3343)
Si (0.0000, 0.0000, 0.5000)
B (0.3333, 0.6667, 0.1506)
B (0.6667, 0.3333, 0.8494)
Rh (0.0000, 0.5000, 0.0000)
Rh (0.1751, 0.3502, 0.3206)
Rh (0.1751, 0.8249, 0.3206)
Rh (0.3502, 0.1751, 0.6794)
Rh (0.5000, 0.0000, 0.0000)
Rh (0.5000, 0.5000, 0.0000)
Rh (0.6498, 0.8249, 0.3206)
Rh (0.8249, 0.1751, 0.6794)
Rh (0.8249, 0.6498, 0.6794)

TbDy3Th2: simulated powder X-ray diffraction pattern (Cu Kα X-rays), based on a DFT-relaxed cell (PBE, Alexandria).

Most intense lines, 2θ = 5–70°, most intense first:
2θ/deg  intensity
30.76  100
35.65  45
51.41  40
30.85  33
61.14  29
35.78  22

Atomic structure:
abc: 10.0371 3.5699 10.6592
angles: 90.00 90.05 90.00
Element x y z (fractional)
Tb (0.1238, 0.2500, 0.2507)
Tb (0.8762, 0.7500, 0.7493)
Dy (0.1321, 0.2500, 0.9177)
Dy (0.3688, 0.7500, 0.4175)
Dy (0.3758, 0.7500, 0.7505)
Dy (0.6242, 0.2500, 0.2495)
Dy (0.6312, 0.2500, 0.5825)
Dy (0.8679, 0.7500, 0.0823)
Th (0.1224, 0.2500, 0.5820)
Th (0.3785, 0.7500, 0.0821)
Th (0.6215, 0.2500, 0.9179)
Th (0.8776, 0.7500, 0.4180)

Tb2Y3Tl3: simulated powder X-ray diffraction pattern (Cu Kα X-rays), based on a DFT-relaxed cell (PBE, Alexandria).

Most intense lines, 2θ = 5–70°, most intense first:
2θ/deg  intensity
32.99  100
33.34  25
31.63  24
59.37  19
46.62  17
57.21  15

Atomic structure:
abc: 3.7852 5.3745 22.6268
angles: 90.00 90.00 90.00
Element x y z (fractional)
Tb (0.0000, 0.0000, 0.2349)
Tb (0.0000, 0.0000, 0.7651)
Tb (0.5000, 0.5000, 0.2651)
Tb (0.5000, 0.5000, 0.7349)
Y (0.0000, 0.0000, 0.0000)
Y (0.0000, 0.5000, 0.1250)
Y (0.0000, 0.5000, 0.8750)
Y (0.5000, 0.0000, 0.3750)
Y (0.5000, 0.0000, 0.6250)
Y (0.5000, 0.5000, 0.5000)
Tl (0.0000, 0.0000, 0.5000)
Tl (0.0000, 0.5000, 0.3804)
Tl (0.0000, 0.5000, 0.6196)
Tl (0.5000, 0.0000, 0.1196)
Tl (0.5000, 0.0000, 0.8804)
Tl (0.5000, 0.5000, 0.0000)

Ir7C: simulated powder X-ray diffraction pattern (Cu Kα X-rays), based on a DFT-relaxed cell (PBE, Alexandria).

Most intense lines, 2θ = 5–70°, most intense first:
2θ/deg  intensity
40.79  100
47.46  49
69.37  32
20.07  11
38.98  6
23.21  6

Atomic structure:
abc: 5.4186 5.4186 5.4186
angles: 60.00 60.00 60.00
Element x y z (fractional)
Ir (0.0000, 0.0000, 0.0000)
Ir (0.0000, 0.0000, 0.5000)
Ir (0.0000, 0.5000, 0.0000)
Ir (0.0000, 0.5000, 0.5000)
Ir (0.5000, 0.0000, 0.0000)
Ir (0.5000, 0.0000, 0.5000)
Ir (0.5000, 0.5000, 0.0000)
C (0.5000, 0.5000, 0.5000)

Y2Er3Pu: simulated powder X-ray diffraction pattern (Cu Kα X-rays), based on a DFT-relaxed cell (PBE, Alexandria).

Most intense lines, 2θ = 5–70°, most intense first:
2θ/deg  intensity
32.52  100
32.02  55
38.10  37
31.49  34
33.01  32
26.27  31

Atomic structure:
abc: 8.7473 8.7473 8.7473
angles: 141.30 78.28 115.01
Element x y z (fractional)
Y (0.1482, 0.0299, 0.1182)
Y (0.4117, 0.0299, 0.3818)
Y (0.5883, 0.9701, 0.6182)
Y (0.8518, 0.9701, 0.8818)
Er (0.1446, 0.6665, 0.4781)
Er (0.3116, 0.3335, 0.9781)
Er (0.3839, 0.6339, 0.7500)
Er (0.6161, 0.3661, 0.2500)
Er (0.6884, 0.6665, 0.0219)
Er (0.8554, 0.3335, 0.5219)
Pu (0.0000, 0.0000, 0.5000)
Pu (0.0000, 0.5000, 0.0000)

Ce2B10Pd: simulated powder X-ray diffraction pattern (Cu Kα X-rays), based on a DFT-relaxed cell (PBE, Alexandria).

Most intense lines, 2θ = 5–70°, most intense first:
2θ/deg  intensity
30.75  100
21.97  65
38.18  62
27.52  50
38.04  46
28.15  30

Atomic structure:
abc: 5.7360 11.4111 4.1834
angles: 90.00 90.00 90.00
Element x y z (fractional)
Ce (0.1908, 0.1407, 0.0000)
Ce (0.3092, 0.6407, 0.0000)
Ce (0.6908, 0.3593, 0.0000)
Ce (0.8092, 0.8593, 0.0000)
B (0.0548, 0.3062, 0.5000)
B (0.1154, 0.9558, 0.5000)
B (0.1387, 0.8017, 0.5000)
B (0.2193, 0.3798, 0.1970)
B (0.2193, 0.3798, 0.8030)
B (0.2807, 0.8798, 0.1970)
B (0.2807, 0.8798, 0.8030)
B (0.3613, 0.3017, 0.5000)
B (0.3846, 0.4558, 0.5000)
B (0.4452, 0.8062, 0.5000)
B (0.5548, 0.1938, 0.5000)
B (0.6154, 0.5442, 0.5000)
B (0.6387, 0.6983, 0.5000)
B (0.7193, 0.1202, 0.1970)
B (0.7193, 0.1202, 0.8030)
B (0.7807, 0.6202, 0.1970)
B (0.7807, 0.6202, 0.8030)
B (0.8613, 0.1983, 0.5000)
B (0.8846, 0.0442, 0.5000)
B (0.9452, 0.6938, 0.5000)
Pd (0.0000, 0.5000, 0.5000)
Pd (0.5000, 0.0000, 0.5000)